Record 1
Starting from a DFT-relaxed cell (PBE, Alexandria), the XRD peak list of Rb2NdGaO4 was calculated for Cu Kα (λ = 1.5418 Å).
Neutral-atom scattering factors, no anomalous dispersion.

Structural model:
Unit cell a=13.515 b=12.241 c=7.025 alpha=84.48 beta=64.36 gamma=31.16
Fractional coordinates of all 16 atoms:
Rb: 0.067 0.067 0.683
Rb: 0.317 0.317 0.933
Rb: 0.683 0.683 0.067
Rb: 0.933 0.933 0.317
Nd: 0.125 0.125 0.125
Nd: 0.875 0.875 0.875
Ga: 0.375 0.375 0.375
Ga: 0.625 0.625 0.625
O: 0.036 0.637 0.530
O: 0.296 0.530 0.637
O: 0.363 0.964 0.704
O: 0.470 0.704 0.964
O: 0.530 0.296 0.036
O: 0.637 0.036 0.296
O: 0.704 0.470 0.363
O: 0.964 0.363 0.470

The 10 most intense peaks (2θ from 15° to 90°), in order of rising 2θ:
d (Å), two_theta, Rel. int.
5.643, 15.70, 43.7
3.525, 25.27, 42.8
3.373, 26.43, 100.0
3.205, 27.84, 50.4
2.782, 32.17, 52.6
2.623, 34.18, 66.6
2.400, 37.47, 38.8
2.328, 38.68, 41.0
1.883, 48.35, 55.6
1.590, 57.99, 47.2

Record 2
Starting from a DFT-relaxed cell (PBE, Alexandria), the XRD peak list of Nd3SmGa4O12 was calculated for Cu Kα (λ = 1.5418 Å).
Neutral-atom scattering factors, no anomalous dispersion.

Structural model:
Unit cell a=5.456 b=7.789 c=5.614 alpha=90.00 beta=90.08 gamma=90.00
Fractional coordinates of all 20 atoms:
Nd: 0.000 0.000 0.000
Nd: 0.028 0.500 0.107
Nd: 0.528 0.000 0.502
Sm: 0.499 0.500 0.610
Ga: 0.014 0.251 0.554
Ga: 0.014 0.749 0.554
Ga: 0.515 0.251 0.054
Ga: 0.515 0.749 0.054
O: 0.102 0.000 0.575
O: 0.223 0.298 0.846
O: 0.223 0.702 0.846
O: 0.309 0.300 0.349
O: 0.309 0.700 0.349
O: 0.426 0.000 0.077
O: 0.602 0.500 0.026
O: 0.722 0.203 0.760
O: 0.722 0.797 0.760
O: 0.808 0.203 0.259
O: 0.808 0.797 0.259
O: 0.919 0.500 0.530

The 10 most intense peaks (2θ from 15° to 90°), in order of rising 2θ:
d (Å), two_theta, Rel. int.
3.496, 25.48, 11.2
2.807, 31.88, 21.1
2.760, 32.44, 100.0
2.728, 32.83, 24.5
1.956, 46.42, 22.2
1.947, 46.65, 14.4
1.585, 58.21, 11.3
1.581, 58.36, 22.0
1.380, 67.91, 15.0
1.232, 77.46, 12.2

Record 3
Starting from a DFT-relaxed cell (PBE, Alexandria), the XRD peak list of SrNdGa3O7 was calculated for Cu Kα (λ = 1.5418 Å).
Neutral-atom scattering factors, no anomalous dispersion.

Structural model:
Unit cell a=8.084 b=8.084 c=5.360 alpha=90.00 beta=90.00 gamma=90.53
Fractional coordinates of all 24 atoms:
Sr: 0.162 0.838 0.000
Sr: 0.838 0.162 0.000
Nd: 0.339 0.339 0.024
Nd: 0.661 0.661 0.024
Ga: 0.000 0.500 0.508
Ga: 0.146 0.146 0.477
Ga: 0.358 0.642 0.544
Ga: 0.500 0.000 0.508
Ga: 0.642 0.358 0.544
Ga: 0.854 0.854 0.477
O: 0.000 0.000 0.329
O: 0.096 0.342 0.300
O: 0.153 0.153 0.814
O: 0.165 0.582 0.714
O: 0.342 0.096 0.300
O: 0.371 0.629 0.204
O: 0.418 0.835 0.714
O: 0.500 0.500 0.719
O: 0.582 0.165 0.714
O: 0.629 0.371 0.204
O: 0.658 0.904 0.300
O: 0.835 0.418 0.714
O: 0.847 0.847 0.814
O: 0.904 0.658 0.300

The 10 most intense peaks (2θ from 15° to 90°), in order of rising 2θ:
d (Å), two_theta, Rel. int.
3.918, 22.69, 22.0
3.227, 27.64, 32.5
3.005, 29.73, 86.3
2.989, 29.89, 100.0
2.680, 33.43, 25.4
2.563, 35.01, 24.5
2.548, 35.22, 29.3
1.852, 49.19, 24.5
1.846, 49.36, 38.4
1.602, 57.55, 27.5

Record 4
Starting from a DFT-relaxed cell (PBE, Alexandria), the XRD peak list of SrNdGaO4 was calculated for Cu Kα (λ = 1.5418 Å).
Neutral-atom scattering factors, no anomalous dispersion.

Structural model:
Unit cell a=3.865 b=3.865 c=12.537 alpha=90.00 beta=90.00 gamma=90.00
Fractional coordinates of all 14 atoms:
Sr: 0.000 0.000 0.000
Sr: 0.500 0.500 0.500
Nd: 0.000 0.000 0.716
Nd: 0.500 0.500 0.216
Ga: 0.000 0.000 0.361
Ga: 0.500 0.500 0.861
O: 0.000 0.000 0.191
O: 0.000 0.000 0.527
O: 0.000 0.500 0.348
O: 0.000 0.500 0.848
O: 0.500 0.000 0.348
O: 0.500 0.000 0.848
O: 0.500 0.500 0.027
O: 0.500 0.500 0.691

The 10 most intense peaks (2θ from 15° to 90°), in order of rising 2θ:
d (Å), two_theta, Rel. int.
3.693, 24.10, 16.1
2.837, 31.53, 100.0
2.733, 32.77, 68.4
2.103, 43.00, 16.4
2.089, 43.30, 12.7
2.060, 43.96, 22.4
1.932, 47.02, 35.4
1.660, 55.35, 16.2
1.597, 57.72, 37.2
1.419, 65.83, 13.3

Record 5
Starting from a DFT-relaxed cell (PBE, Alexandria), the XRD peak list of Nd3Ga7Os2 was calculated for Cu Kα (λ = 1.5418 Å).
Neutral-atom scattering factors, no anomalous dispersion.

Structural model:
Unit cell a=12.722 b=12.722 c=12.722 alpha=158.54 beta=158.54 gamma=30.54
Fractional coordinates of all 12 atoms:
Nd: 0.000 0.000 0.000
Nd: 0.180 0.180 0.000
Nd: 0.820 0.820 0.000
Ga: 0.092 0.592 0.500
Ga: 0.299 0.299 0.000
Ga: 0.408 0.908 0.500
Ga: 0.500 0.500 0.000
Ga: 0.592 0.092 0.500
Ga: 0.701 0.701 0.000
Ga: 0.908 0.408 0.500
Os: 0.401 0.401 0.000
Os: 0.599 0.599 0.000

The 10 most intense peaks (2θ from 15° to 90°), in order of rising 2θ:
d (Å), two_theta, Rel. int.
3.409, 26.14, 68.8
3.350, 26.61, 62.6
2.592, 34.61, 26.8
2.455, 36.61, 30.4
2.368, 38.00, 100.0
1.980, 45.83, 17.9
1.945, 46.69, 29.3
1.705, 53.78, 39.9
1.674, 54.83, 41.4
1.384, 67.72, 19.7

Record 6
Starting from a DFT-relaxed cell (PBE, Alexandria), the XRD peak list of Nd2GaPPt6 was calculated for Cu Kα (λ = 1.5418 Å).
Neutral-atom scattering factors, no anomalous dispersion.

Structural model:
Unit cell a=5.585 b=8.611 c=8.263 alpha=90.00 beta=90.00 gamma=90.00
Fractional coordinates of all 20 atoms:
Nd: 0.250 0.011 0.228
Nd: 0.250 0.489 0.228
Nd: 0.750 0.511 0.772
Nd: 0.750 0.989 0.772
Ga: 0.250 0.750 0.779
Ga: 0.750 0.250 0.221
P: 0.250 0.250 0.742
P: 0.750 0.750 0.258
Pt: 0.000 0.250 0.970
Pt: 0.000 0.750 0.030
Pt: 0.001 0.750 0.513
Pt: 0.250 0.004 0.616
Pt: 0.250 0.496 0.616
Pt: 0.499 0.750 0.513
Pt: 0.500 0.250 0.970
Pt: 0.500 0.750 0.030
Pt: 0.501 0.250 0.487
Pt: 0.750 0.504 0.384
Pt: 0.750 0.996 0.384
Pt: 0.999 0.250 0.487

The 10 most intense peaks (2θ from 15° to 90°), in order of rising 2θ:
d (Å), two_theta, Rel. int.
3.322, 26.84, 27.5
2.981, 29.97, 81.6
2.630, 34.10, 38.4
2.343, 38.42, 100.0
2.314, 38.93, 61.9
2.153, 41.97, 51.6
2.143, 42.17, 38.4
2.038, 44.45, 27.2
1.863, 48.90, 20.9
1.576, 58.57, 37.1

Record 7
Starting from a DFT-relaxed cell (PBE, Alexandria), the XRD peak list of Nd3GaP2Rh8 was calculated for Cu Kα (λ = 1.5418 Å).
Neutral-atom scattering factors, no anomalous dispersion.

Structural model:
Unit cell a=5.483 b=5.483 c=9.502 alpha=90.00 beta=90.00 gamma=120.00
Fractional coordinates of all 14 atoms:
Nd: 0.000 0.000 0.000
Nd: 0.333 0.667 0.568
Nd: 0.667 0.333 0.432
Ga: 0.000 0.000 0.500
P: 0.333 0.667 0.105
P: 0.667 0.333 0.895
Rh: 0.164 0.327 0.276
Rh: 0.164 0.836 0.276
Rh: 0.327 0.164 0.724
Rh: 0.333 0.667 0.873
Rh: 0.667 0.333 0.127
Rh: 0.673 0.836 0.276
Rh: 0.836 0.164 0.724
Rh: 0.836 0.673 0.724

The 10 most intense peaks (2θ from 15° to 90°), in order of rising 2θ:
d (Å), two_theta, Rel. int.
2.741, 32.67, 46.0
2.635, 34.03, 73.6
2.374, 37.89, 91.4
2.303, 39.11, 100.0
2.124, 42.56, 80.9
1.561, 59.17, 32.5
1.502, 61.77, 21.6
1.432, 65.15, 26.3
1.371, 68.45, 32.3
1.317, 71.63, 26.0